Record 1
# Tb2Sm12Tm
Simulated powder X-ray diffraction pattern, λ = 1.5418 Å (Cu Kα). Input: the PBE geometry in Alexandria.
Neutral-atom scattering factors, no anomalous dispersion.

Top 12 peaks for 10 to 80 degrees two-theta, sorted by position:
2θ = 28.82°, intensity 27.1
2θ = 29.62°, intensity 43.8
2θ = 30.30°, intensity 64.8
2θ = 31.10°, intensity 66.2
2θ = 31.38°, intensity 19.1
2θ = 32.84°, intensity 100.0
2θ = 36.73°, intensity 37.2
2θ = 51.09°, intensity 18.1
2θ = 56.45°, intensity 20.3
2θ = 58.05°, intensity 21.6
2θ = 61.03°, intensity 20.3
2θ = 62.07°, intensity 19.0

```
Tb2Sm12Tm
1.0
3.5757 -5.7511 0.0000
3.5757 5.7511 0.0000
0.0000 0.0000 24.7908
Tb Sm Tm
4 24 2
direct
0.2500 0.7500 0.2347
0.2500 0.7500 0.7701
0.7500 0.2500 0.2299
0.7500 0.2500 0.7653
0.0011 0.5011 0.6277
0.0011 0.9989 0.4250
0.0180 0.5180 0.0854
0.0229 0.9771 0.9397
0.2500 0.2500 0.1748
0.2500 0.2500 0.3014
0.2500 0.2500 0.6986
0.2500 0.2500 0.8252
0.4771 0.5229 0.9397
0.4820 0.9820 0.0854
0.4989 0.5011 0.4250
0.4989 0.9989 0.6277
0.5011 0.0011 0.3723
0.5011 0.4989 0.5750
0.5180 0.0180 0.9146
0.5229 0.4771 0.0603
0.7500 0.7500 0.1748
0.7500 0.7500 0.3014
0.7500 0.7500 0.6986
0.7500 0.7500 0.8252
0.9771 0.0229 0.0603
0.9820 0.4820 0.9146
0.9989 0.0011 0.5750
0.9989 0.4989 0.3723
0.2500 0.7500 0.5004
0.7500 0.2500 0.4996
```

***

Record 2
# Pr2Y5Pu
Simulated powder X-ray diffraction pattern, λ = 1.5418 Å (Cu Kα). Input: the PBE geometry in Alexandria.
Neutral-atom scattering factors, no anomalous dispersion.

Top 12 peaks for 10 to 80 degrees two-theta, sorted by position:
2θ = 12.84°, intensity 27.2
2θ = 25.84°, intensity 30.6
2θ = 28.50°, intensity 33.8
2θ = 29.74°, intensity 50.6
2θ = 30.07°, intensity 100.0
2θ = 30.75°, intensity 26.9
2θ = 31.09°, intensity 40.7
2θ = 31.78°, intensity 88.8
2θ = 32.31°, intensity 32.0
2θ = 34.65°, intensity 31.4
2θ = 34.77°, intensity 32.1
2θ = 50.22°, intensity 31.1

```
Pr2Y5Pu
1.0
6.4197 0.0000 0.0000
-0.0036 6.8961 0.0000
-2.6771 -0.0429 11.8864
Pr Y Pu
4 10 2
direct
0.0000 0.0000 0.0000
0.0000 0.0000 0.5000
0.0000 0.5000 0.0000
0.5000 0.0000 0.5000
0.0838 0.2507 0.7491
0.0843 0.7482 0.7487
0.2386 0.5001 0.4931
0.4223 0.5020 0.2444
0.5000 0.2485 0.0000
0.5000 0.7515 0.0000
0.5777 0.4980 0.7556
0.7614 0.4999 0.5069
0.9157 0.2518 0.2513
0.9162 0.7493 0.2509
0.4075 0.0019 0.2360
0.5925 0.9981 0.7640
```

***

Q: What is the formula in the second record?
A: Pr2Y5Pu